Simulated powder XRD pattern
Compound: LaMn2CdO6
Radiation: copper Kα
Structure: a DFT-relaxed cell (GGA+U, the Materials Project)

Crystal structure
```
data_LaMn2CdO6
_symmetry_space_group_name_H-M 'P 1'
_symmetry_Int_Tables_number 1
_cell_length_a 5.468
_cell_length_b 5.494
_cell_length_c 9.377
_cell_angle_alpha 74.33
_cell_angle_beta 74.29
_cell_angle_gamma 60.99
loop_
_symmetry_equiv_pos_as_xyz
'x,y,z'
loop_
_atom_site_label
_atom_site_type_symbol
_atom_site_fract_x
_atom_site_fract_y
_atom_site_fract_z
La1 La 0.000 0.000 0.000
La2 La 0.480 0.523 0.500
Mn1 Mn 0.107 0.151 0.624
Mn2 Mn 0.367 0.381 0.876
Mn3 Mn 0.626 0.620 0.124
Mn4 Mn 0.863 0.890 0.376
Cd1 Cd 0.253 0.249 0.250
Cd2 Cd 0.734 0.767 0.750
O1 O 0.009 0.560 0.008
O2 O 0.050 0.950 0.503
O3 O 0.147 0.357 0.749
O4 O 0.278 0.650 0.247
O5 O 0.304 0.801 0.748
O6 O 0.450 0.977 0.003
O7 O 0.457 0.100 0.497
O8 O 0.581 0.434 0.993
O9 O 0.667 0.832 0.249
O10 O 0.727 0.189 0.746
O11 O 0.842 0.244 0.246
O12 O 0.909 0.525 0.505
```

Most intense lines, 2θ from 5° to 70°, in order of rising 2θ:
2θ (°), I_rel, (hkl)
22.71, 27.3, 1 0 -1
32.18, 50.0, 1 -1 0
32.48, 53.6, 1 1 -2
32.61, 48.7, 1 2 1
32.81, 100.0, 0 1 3
32.88, 51.1, 1 0 3
46.28, 30.4, 0 2 -2
46.48, 30.1, 2 0 -2
47.69, 28.4, 2 2 4
57.84, 42.4, 3 0 1


Simulated powder XRD pattern
Compound: LaMn2CdO6
Radiation: copper Kα
Structure: a DFT-relaxed cell (GGA+U, the Materials Project)

Crystal structure
```
data_LaMn2CdO6
_symmetry_space_group_name_H-M 'P 1'
_symmetry_Int_Tables_number 1
_cell_length_a 5.435
_cell_length_b 5.437
_cell_length_c 5.438
_cell_angle_alpha 118.74
_cell_angle_beta 91.87
_cell_angle_gamma 118.41
loop_
_symmetry_equiv_pos_as_xyz
'x,y,z'
loop_
_atom_site_label
_atom_site_type_symbol
_atom_site_fract_x
_atom_site_fract_y
_atom_site_fract_z
La1 La 0.000 0.000 0.000
Mn1 Mn 0.251 0.500 0.748
Mn2 Mn 0.750 0.501 0.249
Cd1 Cd 0.502 0.003 0.498
O1 O 0.004 0.014 0.570
O2 O 0.090 0.587 0.078
O3 O 0.429 0.428 0.437
O4 O 0.493 0.987 0.908
O5 O 0.570 0.569 0.999
O6 O 0.917 0.418 0.498
```

Most intense lines, 2θ from 5° to 70°, in order of rising 2θ:
2θ (°), I_rel, (hkl)
32.17, 33.7, 1 1 -1
32.32, 36.5, -1 1 1
32.63, 32.8, 1 0 1
32.98, 100.0, 2 -1 0
45.99, 21.3, 0 2 0
46.50, 20.7, 2 0 -2
48.14, 18.7, 2 -2 2
58.06, 21.8, 1 2 -3
58.90, 14.5, 1 -1 3
69.17, 16.3, 2 -4 2


Simulated powder XRD pattern
Compound: LaMn2CdO6
Radiation: copper Kα
Structure: a DFT-relaxed cell (GGA+U, the Materials Project)

Crystal structure
```
data_LaMn2CdO6
_symmetry_space_group_name_H-M 'P 1'
_symmetry_Int_Tables_number 1
_cell_length_a 5.357
_cell_length_b 5.384
_cell_length_c 5.506
_cell_angle_alpha 61.33
_cell_angle_beta 61.37
_cell_angle_gamma 89.91
loop_
_symmetry_equiv_pos_as_xyz
'x,y,z'
loop_
_atom_site_label
_atom_site_type_symbol
_atom_site_fract_x
_atom_site_fract_y
_atom_site_fract_z
La1 La 0.000 0.000 0.000
Mn1 Mn 0.248 0.744 0.503
Mn2 Mn 0.749 0.249 0.498
Cd1 Cd 0.495 0.493 0.001
O1 O 0.016 0.582 0.966
O2 O 0.086 0.081 0.412
O3 O 0.424 0.426 0.580
O4 O 0.474 0.890 0.039
O5 O 0.565 0.994 0.433
O6 O 0.913 0.498 0.587
```

Most intense lines, 2θ from 5° to 70°, in order of rising 2θ:
2θ (°), I_rel, (hkl)
23.43, 24.5, 1 1 1
32.02, 49.8, 1 1 0
32.33, 100.0, 1 -1 1
32.59, 50.0, 1 1 2
33.29, 43.7, 0 2 1
33.46, 47.2, 2 0 1
40.54, 24.3, 2 0 2
44.76, 32.3, 0 0 2
47.91, 53.4, 2 -2 0
57.32, 20.7, 0 2 3


Simulated powder XRD pattern
Compound: LaMn2CdO6
Radiation: copper Kα
Structure: a DFT-relaxed cell (GGA+U, the Materials Project)

Crystal structure
```
data_LaMn2CdO6
_symmetry_space_group_name_H-M 'R 3 2'
_symmetry_Int_Tables_number 155
_symmetry_space_group_name_Hall 'R 3 2"'
_cell_length_a 5.5008
_cell_length_b 5.5008
_cell_length_c 13.3830
_cell_angle_alpha 90.00
_cell_angle_beta 90.00
_cell_angle_gamma 120.00
loop_
_atom_site_label
_atom_site_type_symbol
_atom_site_fract_x
_atom_site_fract_y
_atom_site_fract_z
La1 La 0.0000 0.0000 0.0000
Mn1 Mn 0.0000 0.0000 0.2505
Cd1 Cd 0.0000 0.0000 0.5000
O1 O 0.0000 0.4352 0.0000
O2 O 0.0000 0.5833 0.5000
```

Most intense lines, 2θ from 5° to 70°, in order of rising 2θ:
2θ (°), I_rel, (hkl)
22.92, 25.5, 0 1 2
32.56, 93.1, 1 1 0
32.71, 100.0, 1 0 4
40.19, 21.9, 2 0 2
40.44, 9.0, 0 0 6
46.82, 58.0, 0 2 4
58.15, 62.4, 3 0 0
58.47, 18.3, 0 1 8
68.19, 14.4, 2 2 0
68.55, 16.7, 2 0 8